La2Sm5Tl: calculated PXRD pattern (Cu Kα), based on a PBE-relaxed structure.
Kinematic intensities with the Lorentz-polarization factor, no thermal factor.

Largest 8 diffraction maxima, sorted by position, 10 to 90 degrees two-theta:
2θ = 30.5°, I = 100; 2θ = 35.0°, I = 17; 2θ = 35.5°, I = 33; 2θ = 50.7°, I = 24; 2θ = 51.0°, I = 12; 2θ = 60.0°, I = 15; 2θ = 60.6°, I = 28; 2θ = 63.4°, I = 12

Structure:
```
La2Sm5Tl
1.0
0.000 5.124 5.062
5.059 0.000 5.062
5.059 5.124 0.000
La Sm Tl
2 5 1
Direct
0.249 0.751 0.751
0.751 0.249 0.249
0.250 0.250 0.250
0.250 0.749 0.251
0.749 0.250 0.750
0.750 0.750 0.250
0.750 0.750 0.750
0.250 0.250 0.750
```

***

KTl6Sn: calculated PXRD pattern (Cu Kα), based on a PBE-relaxed structure.
Kinematic intensities with the Lorentz-polarization factor, no thermal factor.

Largest 8 diffraction maxima, sorted by position, 10 to 90 degrees two-theta:
2θ = 29.0°, I = 22; 2θ = 31.3°, I = 38; 2θ = 33.0°, I = 100; 2θ = 33.2°, I = 46; 2θ = 51.7°, I = 19; 2θ = 56.8°, I = 22; 2θ = 61.7°, I = 22; 2θ = 62.4°, I = 15

Structure:
```
KTl6Sn
1.0
5.713 0.000 0.000
0.000 3.567 6.114
0.000 -3.567 6.114
K Tl Sn
1 6 1
Direct
0.000 0.000 0.000
0.000 0.500 0.500
0.000 0.501 0.999
0.000 0.999 0.501
0.500 0.174 0.174
0.500 0.176 0.659
0.500 0.659 0.176
0.500 0.669 0.669
```

***

Rb4Er3TiO8: calculated PXRD pattern (Cu Kα), based on a PBE-relaxed structure.
Kinematic intensities with the Lorentz-polarization factor, no thermal factor.

Largest 8 diffraction maxima, sorted by position, 10 to 90 degrees two-theta:
2θ = 13.6°, I = 24; 2θ = 27.5°, I = 47; 2θ = 31.7°, I = 80; 2θ = 35.6°, I = 100; 2θ = 48.5°, I = 35; 2θ = 53.8°, I = 31; 2θ = 56.6°, I = 21; 2θ = 61.4°, I = 29

Structure:
```
Rb4Er3TiO8
1.0
3.410 1.969 6.493
-3.410 1.969 6.493
0.000 -3.938 6.493
Rb Er Ti O
4 3 1 8
Direct
0.000 0.000 0.000
0.000 0.500 0.500
0.500 0.000 0.500
0.500 0.500 0.000
0.000 0.000 0.500
0.000 0.500 0.000
0.500 0.000 0.000
0.500 0.500 0.500
0.225 0.225 0.225
0.238 0.715 0.715
0.285 0.285 0.762
0.285 0.762 0.285
0.715 0.238 0.715
0.715 0.715 0.238
0.762 0.285 0.285
0.775 0.775 0.775
```

***

Ce3CoPt2: calculated PXRD pattern (Cu Kα), based on a PBE-relaxed structure.
Kinematic intensities with the Lorentz-polarization factor, no thermal factor.

Largest 8 diffraction maxima, sorted by position, 10 to 90 degrees two-theta:
2θ = 31.3°, I = 100; 2θ = 44.7°, I = 12; 2θ = 44.8°, I = 25; 2θ = 45.0°, I = 24; 2θ = 45.3°, I = 12; 2θ = 56.0°, I = 12; 2θ = 65.5°, I = 7; 2θ = 74.0°, I = 10

Structure:
```
Ce3CoPt2
1.0
3.496 -6.011 0.000
3.496 6.011 0.000
-2.324 0.000 6.639
Ce Co Pt
6 2 4
Direct
0.073 0.421 0.761
0.227 0.227 0.229
0.421 0.073 0.761
0.579 0.927 0.239
0.773 0.773 0.771
0.927 0.579 0.239
0.167 0.833 0.000
0.833 0.167 0.000
0.000 0.000 0.500
0.342 0.658 0.500
0.500 0.500 0.000
0.658 0.342 0.500
```

***

PmNp2UAs4: calculated PXRD pattern (Cu Kα), based on a PBE-relaxed structure.
Kinematic intensities with the Lorentz-polarization factor, no thermal factor.

Largest 8 diffraction maxima, sorted by position, 10 to 90 degrees two-theta:
2θ = 26.4°, I = 40; 2θ = 30.6°, I = 100; 2θ = 43.9°, I = 76; 2θ = 51.9°, I = 20; 2θ = 54.4°, I = 27; 2θ = 63.8°, I = 13; 2θ = 72.4°, I = 35; 2θ = 80.6°, I = 26

Structure:
```
PmNp2UAs4
1.0
-2.920 2.920 5.836
2.920 -2.920 5.836
2.920 2.920 -5.836
Pm Np U As
1 2 1 4
Direct
0.000 0.000 0.000
0.500 0.500 0.000
0.750 0.250 0.500
0.250 0.750 0.500
0.002 0.502 0.500
0.254 0.254 0.000
0.498 0.998 0.500
0.746 0.746 0.000
```

***

SmMg2CuGe2: calculated PXRD pattern (Cu Kα), based on a PBE-relaxed structure.
Kinematic intensities with the Lorentz-polarization factor, no thermal factor.

Largest 8 diffraction maxima, sorted by position, 10 to 90 degrees two-theta:
2θ = 23.9°, I = 100; 2θ = 29.4°, I = 21; 2θ = 30.6°, I = 32; 2θ = 34.1°, I = 98; 2θ = 42.1°, I = 31; 2θ = 46.5°, I = 21; 2θ = 49.0°, I = 63; 2θ = 55.3°, I = 20

Structure:
```
SmMg2CuGe2
1.0
-2.628 2.628 5.264
2.628 -2.628 5.264
2.628 2.628 -5.264
Sm Mg Cu Ge
1 2 1 2
Direct
0.000 0.000 0.000
0.250 0.750 0.500
0.750 0.250 0.500
0.500 0.500 0.000
0.285 0.285 0.000
0.715 0.715 0.000
```

***

TlGeI: calculated PXRD pattern (Cu Kα), based on a PBE-relaxed structure.
Kinematic intensities with the Lorentz-polarization factor, no thermal factor.

Largest 8 diffraction maxima, sorted by position, 10 to 90 degrees two-theta:
2θ = 21.9°, I = 78; 2θ = 28.4°, I = 90; 2θ = 29.0°, I = 100; 2θ = 33.9°, I = 52; 2θ = 34.0°, I = 36; 2θ = 35.3°, I = 63; 2θ = 35.8°, I = 41; 2θ = 36.1°, I = 44

Structure:
```
TlGeI
1.0
4.201 -3.144 0.000
4.201 3.144 0.000
-1.886 0.000 8.639
Tl Ge I
2 2 2
Direct
0.062 0.062 0.201
0.938 0.938 0.799
0.350 0.350 0.996
0.650 0.650 0.004
0.307 0.307 0.673
0.693 0.693 0.327
```

***

LiAcNdSc: calculated PXRD pattern (Cu Kα), based on a PBE-relaxed structure.
Kinematic intensities with the Lorentz-polarization factor, no thermal factor.

Largest 8 diffraction maxima, sorted by position, 10 to 90 degrees two-theta:
2θ = 22.4°, I = 68; 2θ = 31.9°, I = 100; 2θ = 39.3°, I = 22; 2θ = 45.7°, I = 18; 2θ = 51.5°, I = 31; 2θ = 56.8°, I = 39; 2θ = 71.3°, I = 15; 2θ = 75.8°, I = 17

Structure:
```
LiAcNdSc
1.0
0.000 3.969 3.969
3.969 0.000 3.969
3.969 3.969 0.000
Li Ac Nd Sc
1 1 1 1
Direct
0.000 0.000 0.000
0.750 0.750 0.750
0.250 0.250 0.250
0.500 0.500 0.500
```

***

AcPr3SmY: calculated PXRD pattern (Cu Kα), based on a PBE-relaxed structure.
Kinematic intensities with the Lorentz-polarization factor, no thermal factor.

Largest 8 diffraction maxima, sorted by position, 10 to 90 degrees two-theta:
2θ = 29.4°, I = 100; 2θ = 34.0°, I = 34; 2θ = 34.1°, I = 17; 2θ = 48.8°, I = 18; 2θ = 48.9°, I = 12; 2θ = 57.9°, I = 15; 2θ = 58.1°, I = 14; 2θ = 81.6°, I = 10

Structure:
```
AcPr3SmY
1.0
8.319 0.000 0.000
0.000 5.282 0.000
-3.383 0.000 9.992
Ac Pr Sm Y
2 6 2 2
Direct
0.170 0.250 0.293
0.830 0.750 0.707
0.171 0.750 0.546
0.173 0.250 0.793
0.173 0.750 0.040
0.827 0.250 0.960
0.827 0.750 0.207
0.829 0.250 0.454
0.497 0.750 0.876
0.503 0.250 0.124
0.498 0.250 0.627
0.502 0.750 0.373
```

***

K3Tl2Ag7: calculated PXRD pattern (Cu Kα), based on a PBE-relaxed structure.
Kinematic intensities with the Lorentz-polarization factor, no thermal factor.

Largest 8 diffraction maxima, sorted by position, 10 to 90 degrees two-theta:
2θ = 17.2°, I = 70; 2θ = 35.0°, I = 100; 2θ = 36.9°, I = 30; 2θ = 37.7°, I = 50; 2θ = 40.7°, I = 33; 2θ = 56.0°, I = 25; 2θ = 61.4°, I = 23; 2θ = 73.9°, I = 23

Structure:
```
K3Tl2Ag7
1.0
3.019 1.743 9.739
-3.019 1.743 9.739
0.000 -3.486 9.739
K Tl Ag
3 2 7
Direct
0.000 0.000 0.000
0.142 0.142 0.142
0.858 0.858 0.858
0.332 0.332 0.332
0.668 0.668 0.668
0.088 0.584 0.584
0.416 0.416 0.912
0.416 0.912 0.416
0.500 0.500 0.500
0.584 0.088 0.584
0.584 0.584 0.088
0.912 0.416 0.416
```